Structure and theoretical PXRD pattern of Li3VP2H2O9 (DFT lattice parameters and positions (PBE+U); Cu Kα X-rays).
No peak broadening, texture or thermal motion is included.

a = 14.4704 Å, b = 7.2214 Å, c = 6.8736 Å
α = 90.00°, β = 94.48°, γ = 90.00°
Space group C2/m (No. 12)
Inequivalent atoms, fractional coordinates:
1 Li 0.0000 0.2487 0.0000 (multiplicity 4)
2 Li 0.1225 0.5000 0.6984 (multiplicity 4)
3 Li 0.2500 0.2500 0.5000 (multiplicity 4)
4 V 0.2500 0.2500 0.0000 (multiplicity 4)
5 P 0.1068 0.5000 0.2366 (multiplicity 4)
6 P 0.1191 0.0000 0.6906 (multiplicity 4)
7 H 0.0540 0.0000 0.3678 (multiplicity 4)
8 H 0.1904 0.0000 0.2163 (multiplicity 4)
9 O 0.0013 0.5000 0.2365 (multiplicity 4)
10 O 0.0236 0.0000 0.7738 (multiplicity 4)
11 O 0.1159 0.0000 0.4595 (multiplicity 4)
12 O 0.1324 0.3219 0.1187 (multiplicity 8)
13 O 0.1634 0.5000 0.4374 (multiplicity 4)
14 O 0.1740 0.1786 0.7474 (multiplicity 8)
15 O 0.2426 0.0000 0.1339 (multiplicity 4)

Largest 10 diffraction maxima, sorted by position, 10° ≤ 2θ ≤ 90°:
index  2θ (°)  I_rel
2 0 0  12.27  63
0 0 1  12.92  43
1 1 -1  18.55  100
3 1 -1  25.02  30
3 1 1  26.51  41
4 0 -1  27.02  31
2 2 0  27.63  45
0 2 1  27.93  55
2 0 2  29.73  35
0 2 2  36.14  34



Structure and theoretical PXRD pattern of LiVP3HO10 (DFT lattice parameters and positions (PBE+U); Cu Kα X-rays).
No peak broadening, texture or thermal motion is included.

a = 6.5120 Å, b = 7.9084 Å, c = 8.5531 Å
α = 96.18°, β = 97.31°, γ = 110.48°
Space group P-1 (No. 2)
Inequivalent atoms, fractional coordinates:
1 Li 0.2067 0.4686 0.1997 (multiplicity 2)
2 V 0.3705 0.1624 0.8357 (multiplicity 2)
3 P 0.1284 0.8302 0.2714 (multiplicity 2)
4 P 0.2340 0.4027 0.5785 (multiplicity 2)
5 P 0.3084 0.7141 0.8297 (multiplicity 2)
6 H 0.3808 0.1009 0.3711 (multiplicity 2)
7 O 0.0163 0.6880 0.3869 (multiplicity 2)
8 O 0.0521 0.1454 0.8442 (multiplicity 2)
9 O 0.0991 0.6041 0.8801 (multiplicity 2)
10 O 0.2302 0.3845 0.4042 (multiplicity 2)
11 O 0.2556 0.0076 0.4025 (multiplicity 2)
12 O 0.2912 0.7633 0.1985 (multiplicity 2)
13 O 0.3191 0.6157 0.6534 (multiplicity 2)
14 O 0.3384 0.9080 0.7965 (multiplicity 2)
15 O 0.3809 0.3237 0.6773 (multiplicity 2)
16 O 0.4731 0.2747 0.0605 (multiplicity 2)

Largest 10 diffraction maxima, sorted by position, 10° ≤ 2θ ≤ 90°:
index  2θ (°)  I_rel
1 0 -1  16.58  94
0 1 1  17.37  100
1 -1 1  18.96  46
0 0 2  21.23  44
0 2 -1  24.94  78
-1 2 1  26.27  77
1 -1 2  26.77  56
2 0 -1  29.78  88
2 -1 1  30.83  33
0 2 2  35.14  46



Structure and theoretical PXRD pattern of LiVP2HO8 (DFT lattice parameters and positions (PBE+U); Cu Kα X-rays).
No peak broadening, texture or thermal motion is included.

a = 4.8748 Å, b = 8.0124 Å, c = 7.4810 Å
α = 90.00°, β = 105.04°, γ = 90.00°
Space group P2_1 (No. 4)
Inequivalent atoms, fractional coordinates:
1 Li 0.1504 0.0000 0.1038 (multiplicity 2)
2 V 0.2590 0.6254 0.2647 (multiplicity 2)
3 P 0.1167 0.9748 0.4811 (multiplicity 2)
4 P 0.3744 0.2835 0.0104 (multiplicity 2)
5 H 0.2890 0.6385 0.7638 (multiplicity 2)
6 O 0.0121 0.5696 0.6963 (multiplicity 2)
7 O 0.0762 0.4604 0.3850 (multiplicity 2)
8 O 0.1105 0.1803 0.9039 (multiplicity 2)
9 O 0.2111 0.8001 0.4355 (multiplicity 2)
10 O 0.2713 0.4531 0.0636 (multiplicity 2)
11 O 0.3907 0.0704 0.5971 (multiplicity 2)
12 O 0.4126 0.8034 0.1097 (multiplicity 2)
13 O 0.4968 0.1763 0.1866 (multiplicity 2)

Largest 10 diffraction maxima, sorted by position, 10° ≤ 2θ ≤ 90°:
index  2θ (°)  I_rel
0 1 1  16.52  62
1 1 -1  22.60  49
1 0 1  25.11  79
0 2 1  25.42  55
1 1 1  27.51  20
1 1 -2  29.21  100
1 2 -1  29.81  24
0 2 2  33.40  44
1 2 3  52.21  27
2 3 -3  58.48  18



Structure and theoretical PXRD pattern of Li2VPHO5 (DFT lattice parameters and positions (PBE+U); Cu Kα X-rays).
No peak broadening, texture or thermal motion is included.

a = 5.3862 Å, b = 7.6847 Å, c = 10.8421 Å
α = 101.94°, β = 100.95°, γ = 107.29°
Space group P-1 (No. 2)
Inequivalent atoms, fractional coordinates:
1 Li 0.0181 0.0008 0.3457 (multiplicity 2)
2 Li 0.2240 0.9635 0.1479 (multiplicity 2)
3 Li 0.2759 0.5367 0.3518 (multiplicity 2)
4 Li 0.4817 0.4983 0.1540 (multiplicity 2)
5 V 0.0000 0.5000 0.0000 (multiplicity 1)
6 V 0.2502 0.7500 0.7497 (multiplicity 2)
7 V 0.5000 0.0000 0.5000 (multiplicity 1)
8 P 0.1340 0.3067 0.5655 (multiplicity 2)
9 P 0.3663 0.1935 0.9348 (multiplicity 2)
10 H 0.1099 0.2767 0.1379 (multiplicity 2)
11 H 0.3884 0.2230 0.3618 (multiplicity 2)
12 O 0.0761 0.3939 0.1704 (multiplicity 2)
13 O 0.0955 0.3202 0.4216 (multiplicity 2)
14 O 0.1396 0.7456 0.3997 (multiplicity 2)
15 O 0.1588 0.0037 0.8370 (multiplicity 2)
16 O 0.2478 0.3522 0.9225 (multiplicity 2)
17 O 0.2521 0.1477 0.5774 (multiplicity 2)
18 O 0.3422 0.4961 0.6632 (multiplicity 2)
19 O 0.3602 0.7543 0.1002 (multiplicity 2)
20 O 0.4047 0.1809 0.0789 (multiplicity 2)
21 O 0.4224 0.1058 0.3294 (multiplicity 2)

Largest 10 diffraction maxima, sorted by position, 10° ≤ 2θ ≤ 90°:
index  2θ (°)  I_rel
0 1 1  17.18  17
1 0 -1  17.67  25
1 1 0  25.34  24
0 1 -3  25.63  100
1 -1 2  25.95  14
-1 2 1  27.61  52
-2 1 1  33.43  14
1 2 -1  34.13  14
1 1 2  35.48  27
2 -4 2  53.75  20



Structure and theoretical PXRD pattern of Li2VP2HO8 (DFT lattice parameters and positions (PBE+U); Cu Kα X-rays).
No peak broadening, texture or thermal motion is included.

a = 4.8405 Å, b = 8.1347 Å, c = 8.6851 Å
α = 97.58°, β = 102.12°, γ = 105.52°
Space group P-1 (No. 2)
Inequivalent atoms, fractional coordinates:
1 Li 0.1705 0.3716 0.1175 (multiplicity 2)
2 Li 0.2793 0.8598 0.7297 (multiplicity 2)
3 V 0.0943 0.8155 0.2868 (multiplicity 2)
4 P 0.3400 0.2338 0.4424 (multiplicity 2)
5 P 0.4086 0.7564 0.0756 (multiplicity 2)
6 H 0.3709 0.4499 0.6313 (multiplicity 2)
7 O 0.0776 0.0680 0.3633 (multiplicity 2)
8 O 0.2217 0.6204 0.1553 (multiplicity 2)
9 O 0.2376 0.3222 0.5910 (multiplicity 2)
10 O 0.2548 0.7367 0.9002 (multiplicity 2)
11 O 0.2666 0.2503 0.9056 (multiplicity 2)
12 O 0.3713 0.8096 0.4925 (multiplicity 2)
13 O 0.3930 0.3626 0.3318 (multiplicity 2)
14 O 0.4037 0.9288 0.1825 (multiplicity 2)

Largest 10 diffraction maxima, sorted by position, 10° ≤ 2θ ≤ 90°:
index  2θ (°)  I_rel
0 1 0  11.52  22
0 1 -1  14.04  80
0 1 -2  22.18  22
0 2 0  23.16  100
1 -1 1  23.62  62
1 0 1  24.76  20
1 0 -2  25.13  32
1 -1 2  31.14  23
-1 2 2  33.19  28
-2 3 1  45.29  18



Structure and theoretical PXRD pattern of LiVP4H4O14 (DFT lattice parameters and positions (PBE+U); Cu Kα X-rays).
No peak broadening, texture or thermal motion is included.

a = 5.2310 Å, b = 7.1883 Å, c = 8.0766 Å
α = 81.72°, β = 81.16°, γ = 69.44°
Space group P-1 (No. 2)
Inequivalent atoms, fractional coordinates:
1 Li 0.0000 0.0000 0.0000 (multiplicity 1)
2 V 0.0000 0.5000 0.0000 (multiplicity 1)
3 P 0.3194 0.2201 0.3095 (multiplicity 2)
4 P 0.3770 0.6258 0.2275 (multiplicity 2)
5 H 0.1040 0.7969 0.4326 (multiplicity 2)
6 H 0.3081 0.0210 0.6276 (multiplicity 2)
7 O 0.1669 0.2542 0.1553 (multiplicity 2)
8 O 0.1823 0.6859 0.0898 (multiplicity 2)
9 O 0.1827 0.1568 0.4756 (multiplicity 2)
10 O 0.2861 0.7819 0.3580 (multiplicity 2)
11 O 0.3241 0.4054 0.8318 (multiplicity 2)
12 O 0.3507 0.4279 0.3375 (multiplicity 2)
13 O 0.3809 0.9276 0.7318 (multiplicity 2)

Largest 10 diffraction maxima, sorted by position, 10° ≤ 2θ ≤ 90°:
index  2θ (°)  I_rel
0 1 0  13.22  52
0 1 1  16.46  46
0 1 -1  18.15  26
1 0 -1  22.45  100
1 2 1  27.17  61
1 0 2  27.36  58
-1 1 1  28.66  17
0 2 -1  29.95  28
1 2 -1  30.84  16
1 3 2  41.46  14



Structure and theoretical PXRD pattern of Li2V3P4H4O16 (DFT lattice parameters and positions (PBE+U); Cu Kα X-rays).
No peak broadening, texture or thermal motion is included.

a = 8.8680 Å, b = 8.2507 Å, c = 9.1554 Å
α = 90.00°, β = 98.59°, γ = 90.00°
Space group P2_1/c (No. 14)
Inequivalent atoms, fractional coordinates:
1 Li 0.0027 0.1675 0.4665 (multiplicity 4)
2 V 0.3532 0.6388 0.5041 (multiplicity 4)
3 V 0.5000 0.0000 0.5000 (multiplicity 2)
4 P 0.1779 0.5649 0.7731 (multiplicity 4)
5 P 0.3867 0.1979 0.2045 (multiplicity 4)
6 H 0.1124 0.5011 0.2886 (multiplicity 4)
7 H 0.2776 0.0418 0.7663 (multiplicity 4)
8 O 0.0388 0.5390 0.8524 (multiplicity 4)
9 O 0.1468 0.6619 0.6285 (multiplicity 4)
10 O 0.2169 0.0049 0.8437 (multiplicity 4)
11 O 0.2223 0.1203 0.2303 (multiplicity 4)
12 O 0.3132 0.6332 0.8803 (multiplicity 4)
13 O 0.3485 0.1379 0.6309 (multiplicity 4)
14 O 0.4547 0.0758 0.1074 (multiplicity 4)
15 O 0.4851 0.2084 0.3570 (multiplicity 4)

Largest 10 diffraction maxima, sorted by position, 10° ≤ 2θ ≤ 90°:
index  2θ (°)  I_rel
1 0 0  10.09  100
1 1 -1  16.85  14
1 1 1  18.54  19
1 0 2  23.40  12
1 1 2  25.83  18
2 1 1  26.20  12
1 2 1  26.40  17
2 1 -2  28.29  23
1 2 -2  30.05  22
2 2 1  32.34  13



Structure and theoretical PXRD pattern of Li2VPHO5 (DFT lattice parameters and positions (PBE+U); Cu Kα X-rays).
No peak broadening, texture or thermal motion is included.

a = 5.3954 Å, b = 5.5980 Å, c = 7.7275 Å
α = 108.39°, β = 108.84°, γ = 94.12°
Space group P-1 (No. 2)
Inequivalent atoms, fractional coordinates:
1 Li 0.0341 0.3696 0.1676 (multiplicity 2)
2 Li 0.2937 0.9258 0.8009 (multiplicity 2)
3 V 0.5000 0.5000 0.0000 (multiplicity 1)
4 V 0.5000 0.5000 0.5000 (multiplicity 1)
5 P 0.1689 0.8748 0.2288 (multiplicity 2)
6 H 0.1605 0.4231 0.6413 (multiplicity 2)
7 O 0.1206 0.2469 0.9272 (multiplicity 2)
8 O 0.1671 0.1619 0.3312 (multiplicity 2)
9 O 0.2303 0.7216 0.3675 (multiplicity 2)
10 O 0.3163 0.5614 0.7242 (multiplicity 2)
11 O 0.3615 0.8512 0.1135 (multiplicity 2)

Largest 10 diffraction maxima, sorted by position, 10° ≤ 2θ ≤ 90°:
index  2θ (°)  I_rel
0 1 0  17.01  20
1 0 -1  17.72  49
0 1 -2  25.56  100
1 0 -2  25.66  51
1 -1 1  25.90  21
1 1 0  26.97  65
-1 1 2  34.18  17
1 -2 0  35.63  28
0 2 -4  52.48  23
2 0 2  52.65  25